This entry pairs a crystal structure of Ti13Tl2 with its simulated XRD peak list. Radiation: copper Kα. Structure: DFT lattice parameters and positions (PBE).
Lines closer than 0.1° are merged.

Atomic structure:
```
Ti13Tl2
1.0
3.5887 2.0719 7.2891
-3.5887 2.0719 7.2891
0.0000 -4.1439 7.2891
Ti Tl
13 2
Cartesian
0.0000 0.0000 0.0000
0.0000 -1.5537 5.3644
-1.3456 0.7769 5.3644
0.0000 -1.5540 8.0179
-1.3458 0.7770 8.0179
-1.3458 -0.7770 13.8494
1.3456 0.7769 5.3644
-1.3456 -0.7769 16.5029
1.3458 0.7770 8.0179
1.3458 -0.7770 13.8494
0.0000 1.5540 13.8494
1.3456 -0.7769 16.5029
0.0000 1.5537 16.5029
0.0000 0.0000 2.9503
0.0000 0.0000 18.9171
```

Principal peaks in the range 15° ≤ 2θ ≤ 90°, by intensity:
2theta, I (rel.)
38.54, 100.0
35.89, 76.3
40.96, 71.5
21.65, 65.1
27.71, 62.7
24.81, 58.6
33.16, 26.3
45.51, 26.1